(1)
Structure and theoretical X-ray powder pattern of SnGe3 (a structure optimized by DFT (GGA-PBE); copper Kα).

Peak list (10 most intense, 2θ from 10° to 90°, low angle first)
d (Å)	two_theta	intensity
4.433	20.03	5
3.135	28.47	4
2.559	35.06	100
2.216	40.71	50
1.982	45.77	3
1.810	50.43	2
1.567	58.93	33
1.337	70.45	39
1.280	74.09	11
1.108	88.15	6

```
SnGe3
1.0
4.4330 0.0000 0.0000
0.0000 4.4330 0.0000
0.0000 0.0000 4.4330
Sn Ge
1 3
direct
0.0000 0.0000 0.0000
0.0000 0.5000 0.5000
0.5000 0.0000 0.5000
0.5000 0.5000 0.0000
```



(2)
Structure and theoretical X-ray powder pattern of TmSnGe (a structure optimized by DFT (GGA-PBE); copper Kα).

Peak list (10 most intense, 2θ from 10° to 90°, low angle first)
d (Å)	two_theta	intensity
3.625	24.56	13
2.683	33.40	22
2.576	34.83	100
2.567	34.96	11
2.126	42.51	16
2.030	44.63	14
1.666	55.11	11
1.527	60.62	11
1.299	72.84	13
1.254	75.87	11

```
TmSnGe
1.0
2.1265 -8.0476 0.0000
2.1265 8.0476 0.0000
0.0000 0.0000 4.0605
Tm Sn Ge
2 2 2
direct
0.0938 0.9062 0.7500
0.9062 0.0938 0.2500
0.2541 0.7459 0.2500
0.7459 0.2541 0.7500
0.4447 0.5553 0.7500
0.5553 0.4447 0.2500
```



(3)
Structure and theoretical X-ray powder pattern of SrGe (a structure optimized by DFT (GGA-PBE); copper Kα).

Peak list (10 most intense, 2θ from 10° to 90°, low angle first)
d (Å)	two_theta	intensity
3.069	29.09	100
3.005	29.73	41
2.870	31.17	21
2.448	36.71	79
2.427	37.04	35
2.373	37.91	25
2.111	42.84	23
1.697	54.05	17
1.593	57.90	19
1.553	59.51	17

```
SrGe
1.0
2.4268 -5.7391 0.0000
2.4268 5.7391 0.0000
0.0000 0.0000 4.2218
Sr Ge
2 2
direct
0.1368 0.8632 0.7500
0.8632 0.1368 0.2500
0.4292 0.5708 0.7500
0.5708 0.4292 0.2500
```



(4)
Structure and theoretical X-ray powder pattern of SrGe2 (a structure optimized by DFT (GGA-PBE); copper Kα).

Peak list (10 most intense, 2θ from 10° to 90°, low angle first)
d (Å)	two_theta	intensity
3.484	25.57	32
3.299	27.03	42
3.265	27.32	46
2.843	31.47	100
2.709	33.06	69
2.683	33.39	38
2.571	34.90	55
2.486	36.13	33
2.389	37.66	55
2.160	41.81	60

```
SrGe2
1.0
8.8106 0.0000 0.0000
0.0000 6.5986 0.0000
0.0000 0.0000 11.2693
Sr Ge
8 16
direct
0.0151 0.2500 0.1932
0.1564 0.7500 0.4062
0.3436 0.2500 0.9062
0.4849 0.7500 0.6932
0.5151 0.2500 0.3068
0.6564 0.7500 0.0938
0.8436 0.2500 0.5938
0.9849 0.7500 0.8068
0.0658 0.7500 0.0921
0.1900 0.0551 0.6507
0.1900 0.4449 0.6507
0.1932 0.2500 0.4526
0.3068 0.7500 0.9526
0.3100 0.5551 0.1507
0.3100 0.9449 0.1507
0.4342 0.2500 0.5921
0.5658 0.7500 0.4079
0.6900 0.0551 0.8493
0.6900 0.4449 0.8493
0.6932 0.2500 0.0474
0.8068 0.7500 0.5474
0.8100 0.5551 0.3493
0.8100 0.9449 0.3493
0.9342 0.2500 0.9079
```